Theoretical powder diffractogram of VZnHPbO5 for CuKα, from DFT lattice parameters and positions (PBE+U).

Structure:
Lattice parameters (Å, degrees): 7.6945 6.1871 9.5393 90.00 90.00 90.00
Element x y z (fractional)
V1 0.1295 0.2500 0.1834
V2 0.3705 0.7500 0.6834
V3 0.6295 0.2500 0.3166
V4 0.8705 0.7500 0.8166
Zn1 0.0000 0.0000 0.5000
Zn2 0.0000 0.5000 0.5000
Zn3 0.5000 0.0000 0.0000
Zn4 0.5000 0.5000 0.0000
H1 0.2416 0.7500 0.0147
H2 0.2584 0.2500 0.5147
H3 0.7416 0.7500 0.4853
H4 0.7584 0.2500 0.9853
Pb1 0.1330 0.2500 0.8216
Pb2 0.3670 0.7500 0.3216
Pb3 0.6330 0.2500 0.6784
Pb4 0.8670 0.7500 0.1784
O1 0.0470 0.7500 0.9249
O2 0.1206 0.0116 0.2868
O3 0.1206 0.4884 0.2868
O4 0.1445 0.2500 0.5649
O5 0.1889 0.7500 0.5695
O6 0.3111 0.2500 0.0695
O7 0.3555 0.7500 0.0649
O8 0.3794 0.5117 0.7868
O9 0.3794 0.9884 0.7868
O10 0.4530 0.2500 0.4249
O11 0.5470 0.7500 0.5751
O12 0.6206 0.0116 0.2132
O13 0.6206 0.4884 0.2132
O14 0.6445 0.2500 0.9351
O15 0.6889 0.7500 0.9305
O16 0.8111 0.2500 0.4305
O17 0.8555 0.7500 0.4351
O18 0.8794 0.5117 0.7132
O19 0.8794 0.9884 0.7132
O20 0.9530 0.2500 0.0751

Most intense lines, 2θ = 10–90°, most intense first:
| d [Å] | I (rel.) | (hkl) |
| --- | --- | --- |
| 3.267 | 1000 | 2 1 0 |
| 5.191 | 707 | 0 1 1 |
| 2.655 | 624 | 1 1 3 |
| 2.939 | 611 | 1 0 3 |
| 2.695 | 516 | 2 1 2 |
| 2.749 | 455 | 1 2 1 |
| 2.337 | 438 | 2 2 1 |
| 1.677 | 382 | 3 2 3 |
| 4.303 | 357 | 1 1 1 |
| 3.093 | 292 | 0 2 0 |